Structure and theoretical X-ray diffraction stick pattern of Tl2SnPbAu (a crystal structure in Alexandria, relaxed with GGA-PBE; a wavelength of 1.5418 Å).
Kinematic intensities with the Lorentz-polarization factor, no thermal factor.

Top 10 peaks for 2θ from 10° to 90°, in order of falling intensity:
| 2theta | I/Imax | index |
| --- | --- | --- |
| 28.7 | 100 | 1 1 0 |
| 41.0 | 68 | 2 0 0 |
| 35.4 | 46 | 1 0 5 |
| 29.3 | 30 | 1 1 1 |
| 55.2 | 26 | 2 1 5 |
| 50.8 | 26 | 2 0 5 |
| 67.3 | 24 | 3 1 0 |
| 33.6 | 19 | 1 1 3 |
| 59.4 | 17 | 2 2 0 |
| 37.0 | 17 | 1 1 4 |

Cell and atoms:
a b c (Å): 4.402 4.402 15.534
angles (deg): 90.00 90.00 90.00
Sites, in units of the cell vectors:
Tl (0.250, 0.250, 0.106)
Tl (0.250, 0.250, 0.734)
Tl (0.750, 0.750, 0.266)
Tl (0.750, 0.750, 0.894)
Sn (0.250, 0.750, 0.500)
Sn (0.750, 0.250, 0.500)
Pb (0.250, 0.250, 0.339)
Pb (0.750, 0.750, 0.661)
Au (0.250, 0.250, 0.919)
Au (0.750, 0.750, 0.081)